Structure and simulated powder XRD pattern of Tm3MgPb5 (a cell relaxed with PBE; Cu Kα (λ = 1.5418 Å)).
Kinematic intensities with the Lorentz-polarization factor, no thermal factor.

Most intense lines, 10 to 80 degrees two-theta, by angle:
27.5°, I = 15, (0 0 2)
32.3°, I = 51, (2 1 1)
33.1°, I = 95, (3 0 0)
33.6°, I = 100, (1 1 2)
42.5°, I = 16, (3 1 1)
47.9°, I = 29, (2 2 2)
59.5°, I = 21, (4 1 2)
62.2°, I = 15, (4 2 1)
65.7°, I = 14, (5 1 1)
67.3°, I = 25, (3 0 4)

Crystal structure
Lattice parameters (Å, degrees): 9.3689 9.3689 6.4864 90.00 90.00 120.00
Fractional positions:
Tm: 0.0000 0.3779 0.2500
Tm: 0.0000 0.6221 0.7500
Tm: 0.3779 0.0000 0.2500
Tm: 0.3779 0.3779 0.7500
Tm: 0.6221 0.0000 0.7500
Tm: 0.6221 0.6221 0.2500
Mg: 0.0000 0.0000 0.0000
Mg: 0.0000 0.0000 0.5000
Pb: 0.0000 0.2846 0.7500
Pb: 0.0000 0.7154 0.2500
Pb: 0.2846 0.0000 0.7500
Pb: 0.2846 0.2846 0.2500
Pb: 0.3333 0.6667 0.0000
Pb: 0.3333 0.6667 0.5000
Pb: 0.6667 0.3333 0.0000
Pb: 0.6667 0.3333 0.5000
Pb: 0.7154 0.0000 0.2500
Pb: 0.7154 0.7154 0.7500